For MgB2H6, a cell relaxed with GGA-PBE gives the calculated powder XRD pattern in this record (Cu Kα).

Top 10 peaks for 15 to 90 degrees two-theta, low angle first:
15.1°, d = 5.879 Å, I 70, (1 1 0)
17.9°, d = 4.958 Å, I 81, (1 1 -1)
19.3°, d = 4.609 Å, I 65, (0 0 2)
21.4°, d = 4.160 Å, I 49, (0 2 0)
22.0°, d = 4.032 Å, I 100, (0 1 2)
23.5°, d = 3.791 Å, I 45, (0 2 1)
30.9°, d = 2.893 Å, I 33, (2 1 2)
34.1°, d = 2.629 Å, I 32, (1 3 0)
35.5°, d = 2.529 Å, I 57, (1 3 -1)
39.5°, d = 2.284 Å, I 41, (1 3 -2)

Crystal structure
Lattice parameters (Å, degrees): 8.306 8.321 9.218 90.00 90.08 90.00
Fractional coordinates of all 36 atoms:
Mg  0.110  0.000  0.433
Mg  0.390  0.330  0.567
Mg  0.610  0.830  0.433
Mg  0.890  0.500  0.567
B  0.074  0.288  0.498
B  0.146  0.406  0.646
B  0.354  0.924  0.356
B  0.427  0.042  0.503
B  0.573  0.542  0.497
B  0.646  0.424  0.644
B  0.854  0.906  0.354
B  0.926  0.788  0.502
H  0.013  0.166  0.552
H  0.031  0.843  0.584
H  0.050  0.471  0.728
H  0.180  0.254  0.409
H  0.221  0.320  0.732
H  0.235  0.516  0.606
H  0.265  0.814  0.396
H  0.279  0.010  0.269
H  0.321  0.077  0.593
H  0.449  0.858  0.273
H  0.468  0.486  0.415
H  0.488  0.164  0.449
H  0.512  0.664  0.551
H  0.532  0.986  0.585
H  0.551  0.358  0.727
H  0.679  0.577  0.407
H  0.721  0.510  0.731
H  0.735  0.314  0.604
H  0.765  0.016  0.394
H  0.779  0.820  0.268
H  0.820  0.754  0.591
H  0.950  0.971  0.272
H  0.969  0.343  0.416
H  0.987  0.666  0.448



For MgB2H6, a cell relaxed with GGA-PBE gives the calculated powder XRD pattern in this record (Cu Kα).

Top 10 peaks for 15 to 90 degrees two-theta, low angle first:
15.5°, d = 5.708 Å, I 100, (1 -1 0)
18.4°, d = 4.832 Å, I 21, (-1 1 1)
18.7°, d = 4.743 Å, I 20, (1 -1 1)
19.9°, d = 4.460 Å, I 53, (1 1 1)
22.7°, d = 3.916 Å, I 28, (0 1 -2)
24.5°, d = 3.639 Å, I 18, (2 0 -1)
24.6°, d = 3.620 Å, I 30, (1 -2 0)
25.3°, d = 3.516 Å, I 22, (-1 1 2)
27.1°, d = 3.294 Å, I 25, (1 1 2)
38.9°, d = 2.314 Å, I 15, (2 1 -3)

Crystal structure
Lattice parameters (Å, degrees): 7.780 7.977 8.815 92.17 93.77 92.90
Fractional coordinates of all 36 atoms:
Mg  0.000  0.000  0.000
Mg  0.024  0.488  0.734
Mg  0.530  0.804  0.879
Mg  0.855  0.956  0.504
B  0.236  0.852  0.913
B  0.269  0.638  0.867
B  0.653  0.805  0.632
B  0.736  0.873  0.077
B  0.845  0.694  0.638
B  0.863  0.964  0.234
B  0.953  0.230  0.840
B  0.980  0.204  0.642
H  0.061  0.078  0.619
H  0.061  0.311  0.571
H  0.089  0.217  0.920
H  0.110  0.886  0.831
H  0.168  0.551  0.935
H  0.214  0.873  0.051
H  0.251  0.609  0.726
H  0.343  0.967  0.887
H  0.409  0.575  0.901
H  0.533  0.708  0.658
H  0.601  0.865  0.511
H  0.641  0.758  0.115
H  0.649  0.984  0.020
H  0.662  0.930  0.723
H  0.766  0.048  0.307
H  0.814  0.809  0.971
H  0.822  0.557  0.569
H  0.835  0.196  0.573
H  0.839  0.127  0.868
H  0.882  0.678  0.775
H  0.895  0.362  0.891
H  0.933  0.855  0.309
H  0.980  0.758  0.591
H  0.984  0.069  0.217



Copy entry 2 word for word.
For MgB2H6, a cell relaxed with GGA-PBE gives the calculated powder XRD pattern in this record (Cu Kα).

Top 10 peaks for 15 to 90 degrees two-theta, low angle first:
15.5°, d = 5.708 Å, I 100, (1 -1 0)
18.4°, d = 4.832 Å, I 21, (-1 1 1)
18.7°, d = 4.743 Å, I 20, (1 -1 1)
19.9°, d = 4.460 Å, I 53, (1 1 1)
22.7°, d = 3.916 Å, I 28, (0 1 -2)
24.5°, d = 3.639 Å, I 18, (2 0 -1)
24.6°, d = 3.620 Å, I 30, (1 -2 0)
25.3°, d = 3.516 Å, I 22, (-1 1 2)
27.1°, d = 3.294 Å, I 25, (1 1 2)
38.9°, d = 2.314 Å, I 15, (2 1 -3)

Crystal structure
Lattice parameters (Å, degrees): 7.780 7.977 8.815 92.17 93.77 92.90
Fractional coordinates of all 36 atoms:
Mg  0.000  0.000  0.000
Mg  0.024  0.488  0.734
Mg  0.530  0.804  0.879
Mg  0.855  0.956  0.504
B  0.236  0.852  0.913
B  0.269  0.638  0.867
B  0.653  0.805  0.632
B  0.736  0.873  0.077
B  0.845  0.694  0.638
B  0.863  0.964  0.234
B  0.953  0.230  0.840
B  0.980  0.204  0.642
H  0.061  0.078  0.619
H  0.061  0.311  0.571
H  0.089  0.217  0.920
H  0.110  0.886  0.831
H  0.168  0.551  0.935
H  0.214  0.873  0.051
H  0.251  0.609  0.726
H  0.343  0.967  0.887
H  0.409  0.575  0.901
H  0.533  0.708  0.658
H  0.601  0.865  0.511
H  0.641  0.758  0.115
H  0.649  0.984  0.020
H  0.662  0.930  0.723
H  0.766  0.048  0.307
H  0.814  0.809  0.971
H  0.822  0.557  0.569
H  0.835  0.196  0.573
H  0.839  0.127  0.868
H  0.882  0.678  0.775
H  0.895  0.362  0.891
H  0.933  0.855  0.309
H  0.980  0.758  0.591
H  0.984  0.069  0.217